Entry 1:
This entry pairs a crystal structure of LiHo2Ag3 with its computed X-ray diffraction stick pattern. Radiation: Cu Kα (weighted mean of Kα1 and Kα2). Structure: a structure optimized by DFT (PBE).

Cell and atoms:
```
data_LiHo2Ag3
_chemical_formula_sum 'Li2 Ho4 Ag6'
_cell_length_a 5.057
_cell_length_b 14.830
_cell_length_c 3.461
_cell_angle_alpha 90.00
_cell_angle_beta 90.00
_cell_angle_gamma 90.00
_symmetry_space_group_name_H-M 'C m m m'
_symmetry_Int_Tables_number 65
_symmetry_space_group_name_Hall '-C 2 2'
loop_
_atom_site_label
_atom_site_fract_x
_atom_site_fract_y
_atom_site_fract_z
Li1 0.000 0.000 0.000
Ho1 0.000 0.330 0.000
Ag1 0.000 0.150 0.500
Ag2 0.000 0.500 0.500
```

The 12 most intense peaks (10° ≤ 2θ ≤ 90°), low angle first:
- 11.9°, rel. 101
- 18.5°, rel. 88
- 28.5°, rel. 81
- 31.9°, rel. 80
- 35.1°, rel. 92
- 35.5°, rel. 230
- 36.3°, rel. 1000
- 51.7°, rel. 131
- 52.9°, rel. 70
- 64.3°, rel. 149
- 65.4°, rel. 180
- 77.1°, rel. 92


Entry 2:
This entry pairs a crystal structure of Cs2AgHgO2 with its computed X-ray diffraction stick pattern. Radiation: Cu Kα (weighted mean of Kα1 and Kα2). Structure: a structure optimized by DFT (PBE).

Cell and atoms:
```
data_Cs2AgHgO2
_chemical_formula_sum 'Cs8 Ag4 Hg4 O8'
_cell_length_a 14.119
_cell_length_b 9.491
_cell_length_c 5.808
_cell_angle_alpha 90.00
_cell_angle_beta 90.00
_cell_angle_gamma 90.00
_symmetry_space_group_name_H-M 'C m c m'
_symmetry_Int_Tables_number 63
_symmetry_space_group_name_Hall '-C 2c 2'
loop_
_atom_site_label
_atom_site_fract_x
_atom_site_fract_y
_atom_site_fract_z
Cs1 0.187 0.143 0.250
Ag1 0.000 0.500 0.000
Hg1 0.000 0.195 0.750
O1 0.142 0.181 0.750
```

The 12 most intense peaks (10° ≤ 2θ ≤ 90°), low angle first:
- 19.0°, rel. 289
- 21.1°, rel. 310
- 26.1°, rel. 1000
- 27.4°, rel. 665
- 28.9°, rel. 507
- 30.8°, rel. 198
- 32.9°, rel. 394
- 36.3°, rel. 212
- 38.2°, rel. 205
- 42.9°, rel. 277
- 45.8°, rel. 266
- 53.7°, rel. 200


Entry 3:
This entry pairs a crystal structure of Cr2ReRh8 with its computed X-ray diffraction stick pattern. Radiation: Cu Kα (weighted mean of Kα1 and Kα2). Structure: a structure optimized by DFT (PBE).

Cell and atoms:
```
data_Cr2ReRh8
_chemical_formula_sum 'Cr4 Re2 Rh16'
_cell_length_a 3.994
_cell_length_b 6.535
_cell_length_c 12.027
_cell_angle_alpha 90.00
_cell_angle_beta 90.00
_cell_angle_gamma 90.00
_symmetry_space_group_name_H-M 'I m m m'
_symmetry_Int_Tables_number 71
_symmetry_space_group_name_Hall '-I 2 2'
loop_
_atom_site_label
_atom_site_fract_x
_atom_site_fract_y
_atom_site_fract_z
Cr1 0.000 0.000 0.200
Re1 0.000 0.000 0.500
Rh1 0.000 0.204 0.000
Rh2 0.000 0.288 0.347
Rh3 0.000 0.500 0.154
```

The 12 most intense peaks (10° ≤ 2θ ≤ 90°), low angle first:
- 15.4°, rel. 116
- 30.1°, rel. 146
- 40.0°, rel. 254
- 42.2°, rel. 1000
- 45.2°, rel. 164
- 45.4°, rel. 216
- 63.7°, rel. 85
- 66.0°, rel. 109
- 81.5°, rel. 69
- 81.7°, rel. 120
- 84.4°, rel. 87
- 87.2°, rel. 76


Entry 4:
This entry pairs a crystal structure of CsTb2NpS5 with its computed X-ray diffraction stick pattern. Radiation: Cu Kα (weighted mean of Kα1 and Kα2). Structure: a structure optimized by DFT (PBE).

Cell and atoms:
```
data_CsTb2NpS5
_chemical_formula_sum 'Cs2 Tb4 Np2 S10'
_cell_length_a 5.044
_cell_length_b 7.219
_cell_length_c 13.656
_cell_angle_alpha 90.00
_cell_angle_beta 90.00
_cell_angle_gamma 90.00
_symmetry_space_group_name_H-M 'I m m m'
_symmetry_Int_Tables_number 71
_symmetry_space_group_name_Hall '-I 2 2'
loop_
_atom_site_label
_atom_site_fract_x
_atom_site_fract_y
_atom_site_fract_z
Cs1 0.000 0.000 0.000
Tb1 0.000 0.500 0.207
Np1 0.000 0.000 0.500
S1 0.000 0.231 0.342
S2 0.000 0.500 0.000
```

The 12 most intense peaks (10° ≤ 2θ ≤ 90°), low angle first:
- 13.9°, rel. 299
- 24.7°, rel. 251
- 25.2°, rel. 1000
- 26.1°, rel. 132
- 35.1°, rel. 122
- 35.6°, rel. 209
- 36.2°, rel. 220
- 36.4°, rel. 200
- 43.8°, rel. 368
- 51.7°, rel. 157
- 57.9°, rel. 116
- 63.4°, rel. 116